Simulated powder diffractogram
Compound: ErZn3Br9
Radiation: a wavelength of 1.5418 Å
Structure: a cell relaxed with PBE
Intensities are scaled so that the largest is 100.

Cell: 10.4099 10.4099 13.3954 Å, 123.87 123.87 53.73°
Atoms (fractional coordinates):
Er 0.2281 0.7719 0.5000
Er 0.7719 0.2281 0.0000
Zn 0.0205 0.2566 0.8257
Zn 0.2566 0.0205 0.3257
Zn 0.2830 0.4333 0.6647
Zn 0.4333 0.2830 0.1647
Zn 0.6591 0.8003 0.2128
Zn 0.8003 0.6591 0.7128
Br 0.0816 0.2050 0.1982
Br 0.0891 0.9259 0.3236
Br 0.1675 0.4295 0.0235
Br 0.2050 0.0816 0.6982
Br 0.3021 0.6753 0.6915
Br 0.3786 0.4276 0.3677
Br 0.4276 0.3786 0.8677
Br 0.4295 0.1675 0.5235
Br 0.4609 0.7610 0.2259
Br 0.5023 0.9810 0.0836
Br 0.5281 0.7781 0.5560
Br 0.6753 0.3021 0.1915
Br 0.7610 0.4609 0.7259
Br 0.7781 0.5281 0.0560
Br 0.8390 0.8845 0.9210
Br 0.8845 0.8390 0.4210
Br 0.9259 0.0891 0.8236
Br 0.9810 0.5023 0.5836

The 10 most intense peaks (2θ = 5–70°), in order of falling intensity:
d 5.469, 2θ 16.21, intensity 100; d 3.209, 2θ 27.81, intensity 45; d 3.443, 2θ 25.88, intensity 39; d 7.679, 2θ 11.52, intensity 30; d 4.925, 2θ 18.01, intensity 30; d 3.365, 2θ 26.49, intensity 27; d 2.872, 2θ 31.15, intensity 26; d 4.009, 2θ 22.17, intensity 26; d 2.260, 2θ 39.89, intensity 26; d 3.497, 2θ 25.47, intensity 25